[1]
Diffraction record for LiO2. The XRD peak list is calculated, not measured: it uses DFT lattice parameters and positions (PBE) and Cu Kα, 1.54184 Å.
Neutral-atom scattering factors, no anomalous dispersion.

Structural model:
a b c (Å): 4.6334 4.6334 4.6334
angles (deg): 90.00 90.00 90.00
Sites, in units of the cell vectors:
Li (0.0000, 0.0000, 0.0000)
Li (0.0000, 0.5000, 0.5000)
Li (0.5000, 0.0000, 0.5000)
Li (0.5000, 0.5000, 0.0000)
O (0.2500, 0.2500, 0.2500)
O (0.2500, 0.2500, 0.7500)
O (0.2500, 0.7500, 0.2500)
O (0.2500, 0.7500, 0.7500)
O (0.7500, 0.2500, 0.2500)
O (0.7500, 0.2500, 0.7500)
O (0.7500, 0.7500, 0.2500)
O (0.7500, 0.7500, 0.7500)

Largest 5 diffraction maxima, in order of falling intensity, 10 to 80 degrees two-theta:
Position (°2θ)  d [Å]  I_rel
38.87  2.317  100
56.15  1.638  98
70.39  1.338  12
33.50  2.675  7
66.98  1.397  3

[2]
Diffraction record for TeAs2O4. The XRD peak list is calculated, not measured: it uses DFT lattice parameters and positions (PBE) and Cu Kα, 1.54184 Å.
Neutral-atom scattering factors, no anomalous dispersion.

Structural model:
a b c (Å): 4.2546 5.4084 39.8510
angles (deg): 89.62 88.47 87.59
Sites, in units of the cell vectors:
Te (0.0000, 0.0000, 0.0000)
Te (0.0102, 0.8280, 0.6592)
Te (0.0468, 0.9730, 0.8317)
Te (0.5274, 0.0216, 0.9164)
Te (0.5877, 0.9204, 0.7475)
Te (0.6861, 0.8704, 0.1141)
As (0.0366, 0.7394, 0.9404)
As (0.0507, 0.4660, 0.2464)
As (0.0881, 0.5151, 0.4421)
As (0.0894, 0.6575, 0.7793)
As (0.0943, 0.4732, 0.1086)
As (0.5175, 0.7032, 0.0219)
As (0.5445, 0.4540, 0.5293)
As (0.5481, 0.6843, 0.8589)
As (0.5631, 0.3026, 0.3426)
As (0.6314, 0.5636, 0.6996)
As (0.6440, 0.4225, 0.1784)
As (0.9754, 0.4671, 0.6145)
O (0.0393, 0.2481, 0.8878)
O (0.0412, 0.4985, 0.8838)
O (0.0731, 0.2475, 0.4147)
O (0.2342, 0.4687, 0.3981)
O (0.4484, 0.4040, 0.4636)
O (0.4955, 0.6261, 0.3316)
O (0.4972, 0.6874, 0.1560)
O (0.4975, 0.6121, 0.4873)
O (0.5154, 0.2473, 0.9952)
O (0.5377, 0.4738, 0.8119)
O (0.5396, 0.2196, 0.8147)
O (0.5553, 0.4995, 0.9841)
O (0.5696, 0.5494, 0.5973)
O (0.5751, 0.3487, 0.6245)
O (0.6135, 0.4583, 0.3019)
O (0.8427, 0.3142, 0.0778)
O (0.8957, 0.5861, 0.2068)
O (0.9264, 0.6023, 0.5345)
O (0.9499, 0.1742, 0.2494)
O (0.9562, 0.3248, 0.1466)
O (0.9566, 0.3435, 0.5194)
O (0.9640, 0.3987, 0.7234)
O (0.9832, 0.0597, 0.0769)
O (0.9854, 0.1396, 0.7146)

Largest 10 diffraction maxima, in order of falling intensity, 10 to 80 degrees two-theta:
Position (°2θ)  d [Å]  I_rel
16.56  5.353  100
29.75  3.003  58
29.62  3.016  45
30.23  2.957  32
42.56  2.124  29
23.46  3.791  20
31.28  2.859  18
40.22  2.242  18
31.55  2.835  18
26.85  3.320  17

[3]
Diffraction record for Ho3Se3N. The XRD peak list is calculated, not measured: it uses DFT lattice parameters and positions (PBE) and Cu Kα, 1.54184 Å.
Neutral-atom scattering factors, no anomalous dispersion.

Structural model:
a b c (Å): 7.6979 7.6979 12.5611
angles (deg): 106.91 106.91 82.33
Sites, in units of the cell vectors:
Ho (0.0213, 0.3398, 0.8827)
Ho (0.0628, 0.7880, 0.8774)
Ho (0.2120, 0.9372, 0.6226)
Ho (0.2482, 0.3917, 0.6129)
Ho (0.3398, 0.0213, 0.3827)
Ho (0.3917, 0.2482, 0.1129)
Ho (0.6083, 0.7518, 0.8871)
Ho (0.6602, 0.9787, 0.6173)
Ho (0.7518, 0.6083, 0.3871)
Ho (0.7880, 0.0628, 0.3774)
Ho (0.9372, 0.2120, 0.1226)
Ho (0.9787, 0.6602, 0.1173)
Se (0.0410, 0.3073, 0.3719)
Se (0.0741, 0.7805, 0.3732)
Se (0.2195, 0.9259, 0.1268)
Se (0.3073, 0.0410, 0.8719)
Se (0.3348, 0.5038, 0.8597)
Se (0.4962, 0.6652, 0.6403)
Se (0.5038, 0.3348, 0.3597)
Se (0.6652, 0.4962, 0.1403)
Se (0.6927, 0.9590, 0.1281)
Se (0.7805, 0.0741, 0.8732)
Se (0.9259, 0.2195, 0.6268)
Se (0.9590, 0.6927, 0.6281)
N (0.1097, 0.3752, 0.0760)
N (0.3752, 0.1097, 0.5760)
N (0.6248, 0.8903, 0.4240)
N (0.8903, 0.6248, 0.9240)

Largest 10 diffraction maxima, in order of falling intensity, 10 to 80 degrees two-theta:
Position (°2θ)  d [Å]  I_rel
30.92  2.892  100
47.72  1.906  27
35.41  2.535  25
27.70  3.221  24
42.37  2.133  20
46.16  1.967  18
15.90  5.575  13
27.87  3.201  12
27.33  3.264  12
12.03  7.354  11

Repeat the third record exactly.
Diffraction record for Ho3Se3N. The XRD peak list is calculated, not measured: it uses DFT lattice parameters and positions (PBE) and Cu Kα, 1.54184 Å.
Neutral-atom scattering factors, no anomalous dispersion.

Structural model:
a b c (Å): 7.6979 7.6979 12.5611
angles (deg): 106.91 106.91 82.33
Sites, in units of the cell vectors:
Ho (0.0213, 0.3398, 0.8827)
Ho (0.0628, 0.7880, 0.8774)
Ho (0.2120, 0.9372, 0.6226)
Ho (0.2482, 0.3917, 0.6129)
Ho (0.3398, 0.0213, 0.3827)
Ho (0.3917, 0.2482, 0.1129)
Ho (0.6083, 0.7518, 0.8871)
Ho (0.6602, 0.9787, 0.6173)
Ho (0.7518, 0.6083, 0.3871)
Ho (0.7880, 0.0628, 0.3774)
Ho (0.9372, 0.2120, 0.1226)
Ho (0.9787, 0.6602, 0.1173)
Se (0.0410, 0.3073, 0.3719)
Se (0.0741, 0.7805, 0.3732)
Se (0.2195, 0.9259, 0.1268)
Se (0.3073, 0.0410, 0.8719)
Se (0.3348, 0.5038, 0.8597)
Se (0.4962, 0.6652, 0.6403)
Se (0.5038, 0.3348, 0.3597)
Se (0.6652, 0.4962, 0.1403)
Se (0.6927, 0.9590, 0.1281)
Se (0.7805, 0.0741, 0.8732)
Se (0.9259, 0.2195, 0.6268)
Se (0.9590, 0.6927, 0.6281)
N (0.1097, 0.3752, 0.0760)
N (0.3752, 0.1097, 0.5760)
N (0.6248, 0.8903, 0.4240)
N (0.8903, 0.6248, 0.9240)

Largest 10 diffraction maxima, in order of falling intensity, 10 to 80 degrees two-theta:
Position (°2θ)  d [Å]  I_rel
30.92  2.892  100
47.72  1.906  27
35.41  2.535  25
27.70  3.221  24
42.37  2.133  20
46.16  1.967  18
15.90  5.575  13
27.87  3.201  12
27.33  3.264  12
12.03  7.354  11